Record 1
Theoretical X-ray diffraction stick pattern of Pm4S5I for Cu Kα, 1.54184 Å, from a PBE-relaxed structure.
Kinematic intensities with the Lorentz-polarization factor, no thermal factor.

Main lines, in order of rising 2θ (10 to 80 degrees two-theta):
two_theta	Rel. int.
21.11	98
24.61	100
26.02	22
26.92	17
30.29	20
33.83	25
37.57	100
42.28	34
42.67	47
48.03	20

Cell and atoms:
abc: 8.4840 10.5975 6.9306
angles: 90.00 90.00 90.00
Fractional coordinates of all 20 atoms:
Pm1 0.0227 0.2500 0.0127
Pm2 0.2500 0.0332 0.5052
Pm3 0.2500 0.4668 0.5052
Pm4 0.4773 0.2500 0.0127
Pm5 0.5227 0.7500 0.9873
Pm6 0.7500 0.5332 0.4948
Pm7 0.7500 0.9668 0.4948
Pm8 0.9773 0.7500 0.9873
S1 0.0070 0.5557 0.7459
S2 0.0070 0.9443 0.7459
S3 0.2500 0.2500 0.7256
S4 0.4930 0.5557 0.7459
S5 0.4930 0.9443 0.7459
S6 0.5070 0.0557 0.2541
S7 0.5070 0.4443 0.2541
S8 0.7500 0.7500 0.2744
S9 0.9930 0.0557 0.2541
S10 0.9930 0.4443 0.2541
I1 0.2500 0.7500 0.3101
I2 0.7500 0.2500 0.6899

---

Record 2
Theoretical X-ray diffraction stick pattern of PmS8I2 for Cu Kα, 1.54184 Å, from a PBE-relaxed structure.
Kinematic intensities with the Lorentz-polarization factor, no thermal factor.

Main lines, in order of rising 2θ (10 to 80 degrees two-theta):
two_theta	Rel. int.
13.27	62
13.68	100
15.48	27
23.52	38
25.18	26
27.30	44
27.56	44
32.51	25
36.54	30
40.54	26

Cell and atoms:
abc: 7.5765 7.5765 9.1261
angles: 94.40 94.40 117.38
Fractional coordinates of all 11 atoms:
Pm1 0.0000 0.0000 0.0000
S1 0.1203 0.6905 0.0609
S2 0.2550 0.2550 0.7919
S3 0.3095 0.8797 0.9391
S4 0.4972 0.4972 0.8871
S5 0.5028 0.5028 0.1129
S6 0.6905 0.1203 0.0609
S7 0.7450 0.7450 0.2082
S8 0.8797 0.3095 0.9391
I1 0.1665 0.1665 0.3231
I2 0.8335 0.8335 0.6769

---

Record 3
Theoretical X-ray diffraction stick pattern of PmSI2 for Cu Kα, 1.54184 Å, from a PBE-relaxed structure.
Kinematic intensities with the Lorentz-polarization factor, no thermal factor.

Main lines, in order of rising 2θ (10 to 80 degrees two-theta):
two_theta	Rel. int.
15.42	100
24.81	82
29.96	32
31.13	67
31.29	67
32.90	59
33.51	77
34.21	38
48.60	29
62.27	26

Cell and atoms:
abc: 9.8334 7.2983 4.1457
angles: 90.00 108.57 90.00
Fractional coordinates of all 8 atoms:
Pm1 0.0000 0.0000 0.0000
Pm2 0.5000 0.5000 0.0000
S1 0.0000 0.2356 0.5000
S2 0.5000 0.7356 0.5000
I1 0.1919 0.7447 0.6272
I2 0.3081 0.2447 0.3728
I3 0.6919 0.2447 0.6272
I4 0.8081 0.7447 0.3728

---

Record 4
Theoretical X-ray diffraction stick pattern of Pm5Sb4I for Cu Kα, 1.54184 Å, from a PBE-relaxed structure.
Kinematic intensities with the Lorentz-polarization factor, no thermal factor.

Main lines, in order of rising 2θ (10 to 80 degrees two-theta):
two_theta	Rel. int.
24.26	2
28.08	100
40.13	76
47.45	1
49.69	27
57.97	4
58.09	9
65.68	23
65.75	12
72.92	25

Cell and atoms:
abc: 16.2224 16.2224 16.2224
angles: 164.09 164.09 22.58
Fractional coordinates of all 10 atoms:
Pm1 0.0000 0.0000 0.0000
Pm2 0.2001 0.2001 0.0000
Pm3 0.3953 0.3953 0.0000
Pm4 0.6047 0.6047 0.0000
Pm5 0.7999 0.7999 0.0000
Sb1 0.0985 0.0985 0.0000
Sb2 0.2989 0.2989 0.0000
Sb3 0.7011 0.7011 0.0000
Sb4 0.9015 0.9015 0.0000
I1 0.5000 0.5000 0.0000

---

Record 5
Theoretical X-ray diffraction stick pattern of PmScI5 for Cu Kα, 1.54184 Å, from a PBE-relaxed structure.
Kinematic intensities with the Lorentz-polarization factor, no thermal factor.

Main lines, in order of rising 2θ (10 to 80 degrees two-theta):
two_theta	Rel. int.
10.46	100
25.91	27
26.99	35
27.72	51
28.74	29
28.88	23
29.00	24
30.13	33
37.59	23
43.89	32

Cell and atoms:
abc: 9.5103 4.1274 14.9497
angles: 90.00 97.18 90.00
Fractional coordinates of all 14 atoms:
Pm1 0.0943 0.2500 0.1609
Pm2 0.9057 0.7500 0.8391
Sc1 0.3975 0.7500 0.3551
Sc2 0.6025 0.2500 0.6449
I1 0.1242 0.2500 0.7843
I2 0.1732 0.2500 0.3760
I3 0.1813 0.7500 0.0171
I4 0.3834 0.7500 0.5687
I5 0.4317 0.2500 0.2053
I6 0.5683 0.7500 0.7947
I7 0.6166 0.2500 0.4313
I8 0.8187 0.2500 0.9829
I9 0.8268 0.7500 0.6240
I10 0.8758 0.7500 0.2157

---

Record 6
Theoretical X-ray diffraction stick pattern of Pm3SeI7 for Cu Kα, 1.54184 Å, from a PBE-relaxed structure.
Kinematic intensities with the Lorentz-polarization factor, no thermal factor.

Main lines, in order of rising 2θ (10 to 80 degrees two-theta):
two_theta	Rel. int.
11.51	48
25.80	100
32.87	58
40.40	35
42.36	30
48.56	19
53.03	15
63.97	14
64.95	15
68.72	12

Cell and atoms:
abc: 8.9303 8.9303 7.6761
angles: 90.00 90.00 120.00
Fractional coordinates of all 11 atoms:
Pm1 0.0160 0.5080 0.0000
Pm2 0.4920 0.5080 0.0000
Pm3 0.4920 0.9840 0.0000
Se1 0.3333 0.6667 0.1867
I1 0.1684 0.3368 0.7568
I2 0.1684 0.8316 0.7568
I3 0.3399 0.1700 0.2225
I4 0.6632 0.8316 0.7568
I5 0.6667 0.3333 0.7574
I6 0.8300 0.1700 0.2225
I7 0.8300 0.6601 0.2225

---

Record 7
Theoretical X-ray diffraction stick pattern of TbPmSeI for Cu Kα, 1.54184 Å, from a PBE-relaxed structure.
Kinematic intensities with the Lorentz-polarization factor, no thermal factor.

Main lines, in order of rising 2θ (10 to 80 degrees two-theta):
two_theta	Rel. int.
25.85	17
26.64	19
29.60	30
31.66	100
36.63	24
45.01	22
45.13	29
45.66	22
56.10	13
74.80	11

Cell and atoms:
abc: 6.9551 4.0253 8.3901
angles: 90.00 105.97 90.00
Fractional coordinates of all 8 atoms:
Tb1 0.0000 0.0000 0.0000
Tb2 0.5000 0.5000 0.0000
Pm1 0.3056 0.5000 0.4168
Pm2 0.8056 0.0000 0.4168
Se1 0.4005 0.0000 0.2016
Se2 0.9005 0.5000 0.2016
I1 0.0720 0.5000 0.7176
I2 0.5720 0.0000 0.7176

---

Record 8
Theoretical X-ray diffraction stick pattern of PmYSeI for Cu Kα, 1.54184 Å, from a PBE-relaxed structure.
Kinematic intensities with the Lorentz-polarization factor, no thermal factor.

Main lines, in order of rising 2θ (10 to 80 degrees two-theta):
two_theta	Rel. int.
25.83	24
26.62	11
29.60	36
31.67	100
36.68	22
45.06	53
45.75	20
56.16	18
65.64	10
74.65	11

Cell and atoms:
abc: 6.9797 4.0197 8.3707
angles: 90.00 106.21 90.00
Fractional coordinates of all 8 atoms:
Pm1 0.0000 0.0000 0.0000
Pm2 0.5000 0.5000 0.0000
Y1 0.3047 0.5000 0.4158
Y2 0.8047 0.0000 0.4158
Se1 0.4050 0.0000 0.2159
Se2 0.9050 0.5000 0.2159
I1 0.2326 0.0000 0.6987
I2 0.7326 0.5000 0.6987

---

Record 9
Theoretical X-ray diffraction stick pattern of Pm6SiI8 for Cu Kα, 1.54184 Å, from a PBE-relaxed structure.
Kinematic intensities with the Lorentz-polarization factor, no thermal factor.

Main lines, in order of rising 2θ (10 to 80 degrees two-theta):
two_theta	Rel. int.
15.65	8
22.95	11
27.90	100
33.13	10
39.42	34
40.32	30
49.74	15
57.66	9
64.61	10
65.88	10

Cell and atoms:
abc: 12.1750 12.1750 12.1750
angles: 37.11 37.11 37.11
Fractional coordinates of all 15 atoms:
Pm1 0.0494 0.3378 0.7609
Pm2 0.2391 0.9506 0.6622
Pm3 0.3378 0.7609 0.0494
Pm4 0.6622 0.2391 0.9506
Pm5 0.7609 0.0494 0.3378
Pm6 0.9506 0.6622 0.2391
Si1 0.0000 0.0000 0.0000
I1 0.1059 0.7579 0.4539
I2 0.2421 0.5461 0.8941
I3 0.3333 0.3333 0.3333
I4 0.4539 0.1059 0.7579
I5 0.5461 0.8941 0.2421
I6 0.6667 0.6667 0.6667
I7 0.7579 0.4539 0.1059
I8 0.8941 0.2421 0.5461

---

Record 10
Theoretical X-ray diffraction stick pattern of Pm4Si2I3 for Cu Kα, 1.54184 Å, from a PBE-relaxed structure.
Kinematic intensities with the Lorentz-polarization factor, no thermal factor.

Main lines, in order of rising 2θ (10 to 80 degrees two-theta):
two_theta	Rel. int.
25.17	100
25.63	45
26.21	59
29.66	94
30.16	55
31.06	33
31.37	59
35.16	43
39.54	32
49.58	40

Cell and atoms:
abc: 10.3018 10.3018 5.9391
angles: 92.85 92.85 82.61
Fractional coordinates of all 18 atoms:
Pm1 0.0766 0.6679 0.9952
Pm2 0.2006 0.3986 0.5480
Pm3 0.3321 0.9234 0.5048
Pm4 0.3986 0.2006 0.0480
Pm5 0.6014 0.7994 0.9520
Pm6 0.6679 0.0766 0.4952
Pm7 0.7994 0.6014 0.4520
Pm8 0.9234 0.3321 0.0048
Si1 0.1814 0.4007 0.0551
Si2 0.4007 0.1814 0.5551
Si3 0.5993 0.8186 0.4449
Si4 0.8186 0.5993 0.9449
I1 0.0299 0.7886 0.4899
I2 0.2114 0.9701 0.0101
I3 0.3684 0.6316 0.7500
I4 0.6316 0.3684 0.2500
I5 0.7886 0.0299 0.9899
I6 0.9701 0.2114 0.5101

---

Record 11
Theoretical X-ray diffraction stick pattern of Pm4Si2I3 for Cu Kα, 1.54184 Å, from a PBE-relaxed structure.
Kinematic intensities with the Lorentz-polarization factor, no thermal factor.

Main lines, in order of rising 2θ (10 to 80 degrees two-theta):
two_theta	Rel. int.
24.29	32
27.71	100
30.41	81
41.01	38
41.90	55
50.98	18
52.64	17
54.26	14
68.04	15
69.45	15

Cell and atoms:
abc: 4.3121 4.3121 19.0682
angles: 90.05 90.05 60.00
Fractional coordinates of all 9 atoms:
Pm1 0.9995 0.9995 0.2151
Pm2 0.0005 0.0005 0.7849
Pm3 0.3334 0.3334 0.6206
Pm4 0.6666 0.6666 0.3794
Si1 0.3331 0.3331 0.3013
Si2 0.6669 0.6669 0.6987
I1 0.0000 0.0000 0.5000
I2 0.3342 0.3342 0.8922
I3 0.6658 0.6658 0.1078

---

Record 12
Theoretical X-ray diffraction stick pattern of Pm3Si2I for Cu Kα, 1.54184 Å, from a PBE-relaxed structure.
Kinematic intensities with the Lorentz-polarization factor, no thermal factor.

Main lines, in order of rising 2θ (10 to 80 degrees two-theta):
two_theta	Rel. int.
12.62	22
25.39	60
26.83	30
27.43	19
27.86	54
33.44	33
34.92	100
48.21	21
53.97	20
57.99	27

Cell and atoms:
abc: 8.5350 8.5350 8.5350
angles: 127.52 82.73 121.17
Fractional coordinates of all 12 atoms:
Pm1 0.0000 0.2370 0.2370
Pm2 0.0000 0.7630 0.7630
Pm3 0.5000 0.0000 0.0000
Pm4 0.5000 0.2370 0.7370
Pm5 0.5000 0.5000 0.5000
Pm6 0.5000 0.7630 0.2630
Si1 0.2971 0.7268 0.5703
Si2 0.3434 0.2732 0.0703
Si3 0.6566 0.7268 0.9297
Si4 0.7029 0.2732 0.4297
I1 0.1489 0.8989 0.2500
I2 0.8511 0.1011 0.7500